Structure and computed X-ray powder pattern of RbSb2TeF (a DFT-relaxed cell (PBE, Alexandria); Cu Kα, 1.54184 Å).
Kinematic intensities with the Lorentz-polarization factor, no thermal factor.

Largest 10 diffraction maxima, in order of rising 2θ, 2θ = 5–70°:
| two_theta | I (rel.) | index |
| --- | --- | --- |
| 17.78 | 32 | 1 0 0 |
| 29.78 | 1000 | 1 1 1 |
| 31.36 | 261 | 0 0 2 |
| 36.01 | 358 | 2 0 0 |
| 48.49 | 302 | 2 0 2 |
| 51.84 | 123 | 2 2 0 |
| 54.85 | 178 | 1 1 3 |
| 60.94 | 258 | 3 1 1 |
| 61.85 | 143 | 2 2 2 |
| 65.44 | 30 | 0 0 4 |

Atomic structure:
```
data_RbSb2TeF
_chemical_formula_sum 'Rb1 Sb2 Te1 F1'
_symmetry_space_group_name_H-M 'P 4/m m m'
_symmetry_Int_Tables_number 123
_symmetry_space_group_name_Hall '-P 4 2'
_cell_length_a 4.988
_cell_length_b 4.988
_cell_length_c 5.705
_cell_angle_alpha 90.00
_cell_angle_beta 90.00
_cell_angle_gamma 90.00
loop_
_atom_site_label
_atom_site_fract_x
_atom_site_fract_y
_atom_site_fract_z
_atom_site_occupancy
Rb1 0.000 0.000 0.000 1
Sb1 0.000 0.500 0.500 1
Te1 0.500 0.500 0.000 1
F1 0.500 0.500 0.500 1
```

=====

Structure and computed X-ray powder pattern of RbZn2SbF8 (a DFT-relaxed cell (PBE, Alexandria); Cu Kα, 1.54184 Å).
Kinematic intensities with the Lorentz-polarization factor, no thermal factor.

Largest 10 diffraction maxima, in order of rising 2θ, 2θ = 5–70°:
| two_theta | I (rel.) | index |
| --- | --- | --- |
| 23.54 | 1000 | 1 0 4 |
| 33.48 | 408 | 1 1 0 |
| 33.58 | 318 | 0 1 8 |
| 39.53 | 79 | 1 1 6 |
| 41.33 | 205 | 0 2 4 |
| 48.15 | 131 | 2 0 8 |
| 54.20 | 192 | 2 1 4 |
| 54.34 | 273 | 1 1 12 |
| 59.88 | 268 | 3 0 0 |
| 60.12 | 81 | 1 0 16 |

Atomic structure:
```
data_RbZn2SbF8
_chemical_formula_sum 'Rb3 Zn6 Sb3 F24'
_symmetry_space_group_name_H-M 'R 3 2'
_symmetry_Int_Tables_number 155
_symmetry_space_group_name_Hall 'R 3 2"'
_cell_length_a 5.3534
_cell_length_b 5.3534
_cell_length_c 26.1051
_cell_angle_alpha 90.00
_cell_angle_beta 90.00
_cell_angle_gamma 120.00
loop_
_atom_site_label
_atom_site_fract_x
_atom_site_fract_y
_atom_site_fract_z
_atom_site_occupancy
Rb1 0.0000 0.0000 0.0000 1
Zn1 0.0000 0.0000 0.2515 1
Sb1 0.0000 0.0000 0.5000 1
F1 0.0000 0.0000 0.3226 1
F2 0.0096 0.3232 0.4459 1
```

=====

Structure and computed X-ray powder pattern of Rb2Sc3F10 (a DFT-relaxed cell (PBE, Alexandria); Cu Kα, 1.54184 Å).
Kinematic intensities with the Lorentz-polarization factor, no thermal factor.

Largest 10 diffraction maxima, in order of rising 2θ, 2θ = 5–70°:
| two_theta | I (rel.) | index |
| --- | --- | --- |
| 25.58 | 582 | 1 1 -2 |
| 25.78 | 721 | 3 1 1 |
| 25.90 | 785 | 3 1 -2 |
| 26.70 | 608 | 6 0 -1 |
| 28.23 | 252 | 0 2 0 |
| 36.53 | 480 | 0 2 2 |
| 39.26 | 1000 | 6 2 -1 |
| 48.54 | 243 | 3 3 -2 |
| 49.12 | 214 | 2 2 3 |
| 61.40 | 212 | 8 2 2 |

Atomic structure:
```
data_Rb2Sc3F10
_chemical_formula_sum 'Rb8 Sc12 F40'
_symmetry_space_group_name_H-M 'C 1 2/m 1'
_symmetry_Int_Tables_number 12
_cell_length_a 20.036
_cell_length_b 6.323
_cell_length_c 8.492
_cell_angle_alpha 90.00
_cell_angle_beta 112.78
_cell_angle_gamma 90.00
loop_
_symmetry_equiv_pos_as_xyz
'x,y,z'
'-x,-y,-z'
'-x,y,-z'
'x,-y,z'
'x+1/2,y+1/2,z'
'-x+1/2,-y+1/2,-z'
'-x+1/2,y+1/2,-z'
'x+1/2,-y+1/2,z'
loop_
_atom_site_label
_atom_site_fract_x
_atom_site_fract_y
_atom_site_fract_z
_atom_site_occupancy
Rb1 0.112 0.000 0.220 1
Rb2 0.213 0.000 0.838 1
Sc1 0.000 0.262 0.500 1
Sc2 0.080 0.500 0.978 1
Sc3 0.183 0.500 0.518 1
F1 0.000 0.296 0.000 1
F2 0.018 0.000 0.669 1
F3 0.028 0.500 0.710 1
F4 0.107 0.273 0.519 1
F5 0.131 0.500 0.247 1
F6 0.143 0.266 0.981 1
F7 0.233 0.500 0.765 1
F8 0.250 0.250 0.500 1
```

=====

Copy entry 1 word for word.
Structure and computed X-ray powder pattern of RbSb2TeF (a DFT-relaxed cell (PBE, Alexandria); Cu Kα, 1.54184 Å).
Kinematic intensities with the Lorentz-polarization factor, no thermal factor.

Largest 10 diffraction maxima, in order of rising 2θ, 2θ = 5–70°:
| two_theta | I (rel.) | index |
| --- | --- | --- |
| 17.78 | 32 | 1 0 0 |
| 29.78 | 1000 | 1 1 1 |
| 31.36 | 261 | 0 0 2 |
| 36.01 | 358 | 2 0 0 |
| 48.49 | 302 | 2 0 2 |
| 51.84 | 123 | 2 2 0 |
| 54.85 | 178 | 1 1 3 |
| 60.94 | 258 | 3 1 1 |
| 61.85 | 143 | 2 2 2 |
| 65.44 | 30 | 0 0 4 |

Atomic structure:
```
data_RbSb2TeF
_chemical_formula_sum 'Rb1 Sb2 Te1 F1'
_symmetry_space_group_name_H-M 'P 4/m m m'
_symmetry_Int_Tables_number 123
_symmetry_space_group_name_Hall '-P 4 2'
_cell_length_a 4.988
_cell_length_b 4.988
_cell_length_c 5.705
_cell_angle_alpha 90.00
_cell_angle_beta 90.00
_cell_angle_gamma 90.00
loop_
_atom_site_label
_atom_site_fract_x
_atom_site_fract_y
_atom_site_fract_z
_atom_site_occupancy
Rb1 0.000 0.000 0.000 1
Sb1 0.000 0.500 0.500 1
Te1 0.500 0.500 0.000 1
F1 0.500 0.500 0.500 1
```

=====

Question: Number 1 is which compound?
Answer: RbSb2TeF